Starting from a GGA-PBE-relaxed structure, the X-ray powder pattern of CaH16O10 was calculated for Cu Kα.
Intensities are scaled so that the largest is 100.

Top 10 peaks for 10 to 90 degrees two-theta, by angle:
6.264 Å, 2θ = 14.14°, rel. 34, (1 0 0); 5.395 Å, 2θ = 16.43°, rel. 63, (0 0 2); 3.437 Å, 2θ = 25.92°, rel. 29, (1 1 2); 3.419 Å, 2θ = 26.06°, rel. 85, (1 1 -2); 2.716 Å, 2θ = 32.99°, rel. 87, (1 2 -1); 2.707 Å, 2θ = 33.09°, rel. 100, (-2 1 1); 2.699 Å, 2θ = 33.19°, rel. 51, (0 0 4); 2.209 Å, 2θ = 40.86°, rel. 36, (2 -2 0); 1.984 Å, 2θ = 45.74°, rel. 38, (3 1 0); 1.978 Å, 2θ = 45.88°, rel. 41, (1 -3 0)

Atomic structure:
```
data_CaH16O10
_chemical_formula_sum 'Ca2 H32 O20'
_cell_length_a 6.2632
_cell_length_b 6.2643
_cell_length_c 10.7910
_cell_angle_alpha 89.90
_cell_angle_beta 89.69
_cell_angle_gamma 89.72
_space_group_name_H-M_alt 'P 1'
_space_group_IT_number 1
loop_
_space_group_symop_operation_xyz
'x,y,z'
loop_
_atom_site_label
_atom_site_type_symbol
_atom_site_fract_x
_atom_site_fract_y
_atom_site_fract_z
Ca1 Ca 0.0000 0.0000 0.0000
Ca2 Ca 0.9996 0.0031 0.5021
H1 H 0.0288 0.4586 0.6242
H2 H 0.0425 0.5751 0.3708
H3 H 0.0475 0.4754 0.8780
H4 H 0.1176 0.7115 0.2013
H5 H 0.1419 0.3098 0.7828
H6 H 0.2657 0.3778 0.6027
H7 H 0.2717 0.6163 0.0973
H8 H 0.2737 0.6673 0.3801
H9 H 0.3051 0.1396 0.2835
H10 H 0.3213 0.8851 0.7771
H11 H 0.3547 0.4258 0.9090
H12 H 0.3744 0.2608 0.1048
H13 H 0.3863 0.7305 0.5986
H14 H 0.3969 0.7578 0.8959
H15 H 0.4266 0.3575 0.4057
H16 H 0.4562 0.0238 0.1249
H17 H 0.4609 0.9720 0.6096
H18 H 0.4722 0.0493 0.3787
H19 H 0.5722 0.0411 0.8746
H20 H 0.6191 0.2806 0.5993
H21 H 0.6371 0.7534 0.1137
H22 H 0.6383 0.7693 0.3858
H23 H 0.6546 0.2753 0.8913
H24 H 0.6951 0.9034 0.2499
H25 H 0.7093 0.1333 0.7083
H26 H 0.7255 0.3812 0.1027
H27 H 0.7558 0.6373 0.6098
H28 H 0.7627 0.3956 0.3945
H29 H 0.7661 0.6423 0.8838
H30 H 0.8915 0.3167 0.2772
H31 H 0.9013 0.6973 0.7471
H32 H 0.9661 0.4586 0.1072
O1 O 0.1210 0.3227 0.6283
O2 O 0.1232 0.6805 0.1109
O3 O 0.1255 0.7113 0.3604
O4 O 0.1397 0.3388 0.8750
O5 O 0.3194 0.1150 0.1281
O6 O 0.3314 0.8797 0.6184
O7 O 0.3352 0.1411 0.3753
O8 O 0.3423 0.8998 0.8691
O9 O 0.4922 0.4930 0.0706
O10 O 0.4951 0.4991 0.5656
O11 O 0.4980 0.5006 0.9330
O12 O 0.5041 0.4998 0.4280
O13 O 0.6834 0.1340 0.6171
O14 O 0.6874 0.8983 0.1337
O15 O 0.6878 0.9121 0.3621
O16 O 0.7049 0.1307 0.8669
O17 O 0.8760 0.3279 0.1186
O18 O 0.8999 0.6883 0.6310
O19 O 0.9057 0.3408 0.3689
O20 O 0.9081 0.6922 0.8593
```

Starting from a GGA-PBE-relaxed structure, the X-ray powder pattern of Zr7Te8N4 was calculated for Cu Kα.
Intensities are scaled so that the largest is 100.

Top 10 peaks for 10 to 90 degrees two-theta, by angle:
3.970 Å, 2θ = 22.39°, rel. 45, (1 0 -2); 3.795 Å, 2θ = 23.44°, rel. 55, (1 -2 0); 3.762 Å, 2θ = 23.65°, rel. 45, (2 -1 0); 3.515 Å, 2θ = 25.34°, rel. 40, (1 1 1); 3.184 Å, 2θ = 28.02°, rel. 39, (1 2 -1); 3.166 Å, 2θ = 28.19°, rel. 86, (2 1 -1); 2.732 Å, 2θ = 32.78°, rel. 100, (1 1 -3); 2.608 Å, 2θ = 34.38°, rel. 93, (1 1 2); 2.587 Å, 2θ = 34.68°, rel. 69, (0 3 -1); 2.566 Å, 2θ = 34.97°, rel. 60, (3 -1 0)

Atomic structure:
```
data_Zr7Te8N4
_chemical_formula_sum 'Zr7 Te8 N4'
_cell_length_a 7.8840
_cell_length_b 7.9663
_cell_length_c 8.4273
_cell_angle_alpha 102.21
_cell_angle_beta 102.29
_cell_angle_gamma 102.98
_space_group_name_H-M_alt 'P 1'
_space_group_IT_number 1
loop_
_space_group_symop_operation_xyz
'x,y,z'
loop_
_atom_site_label
_atom_site_type_symbol
_atom_site_fract_x
_atom_site_fract_y
_atom_site_fract_z
Zr1 Zr 0.0000 0.0000 0.0000
Zr2 Zr 0.0414 0.1828 0.5221
Zr3 Zr 0.1051 0.4437 0.2300
Zr4 Zr 0.2930 0.6257 0.6978
Zr5 Zr 0.6028 0.0308 0.2929
Zr6 Zr 0.7717 0.2722 0.8141
Zr7 Zr 0.8244 0.4882 0.5510
Te1 Te 0.0664 0.8801 0.6824
Te2 Te 0.2459 0.7318 0.0649
Te3 Te 0.2963 0.1860 0.3093
Te4 Te 0.3832 0.3325 0.7893
Te5 Te 0.4906 0.6919 0.4567
Te6 Te 0.6042 0.9388 0.9105
Te7 Te 0.7058 0.3815 0.1781
Te8 Te 0.8683 0.8506 0.2548
N1 N 0.0018 0.2546 0.9948
N2 N 0.0768 0.4526 0.5015
N3 N 0.7748 0.1927 0.5413
N4 N 0.8326 0.5167 0.7901
```

Copy entry 2 word for word.
Starting from a GGA-PBE-relaxed structure, the X-ray powder pattern of Zr7Te8N4 was calculated for Cu Kα.
Intensities are scaled so that the largest is 100.

Top 10 peaks for 10 to 90 degrees two-theta, by angle:
3.970 Å, 2θ = 22.39°, rel. 45, (1 0 -2); 3.795 Å, 2θ = 23.44°, rel. 55, (1 -2 0); 3.762 Å, 2θ = 23.65°, rel. 45, (2 -1 0); 3.515 Å, 2θ = 25.34°, rel. 40, (1 1 1); 3.184 Å, 2θ = 28.02°, rel. 39, (1 2 -1); 3.166 Å, 2θ = 28.19°, rel. 86, (2 1 -1); 2.732 Å, 2θ = 32.78°, rel. 100, (1 1 -3); 2.608 Å, 2θ = 34.38°, rel. 93, (1 1 2); 2.587 Å, 2θ = 34.68°, rel. 69, (0 3 -1); 2.566 Å, 2θ = 34.97°, rel. 60, (3 -1 0)

Atomic structure:
```
data_Zr7Te8N4
_chemical_formula_sum 'Zr7 Te8 N4'
_cell_length_a 7.8840
_cell_length_b 7.9663
_cell_length_c 8.4273
_cell_angle_alpha 102.21
_cell_angle_beta 102.29
_cell_angle_gamma 102.98
_space_group_name_H-M_alt 'P 1'
_space_group_IT_number 1
loop_
_space_group_symop_operation_xyz
'x,y,z'
loop_
_atom_site_label
_atom_site_type_symbol
_atom_site_fract_x
_atom_site_fract_y
_atom_site_fract_z
Zr1 Zr 0.0000 0.0000 0.0000
Zr2 Zr 0.0414 0.1828 0.5221
Zr3 Zr 0.1051 0.4437 0.2300
Zr4 Zr 0.2930 0.6257 0.6978
Zr5 Zr 0.6028 0.0308 0.2929
Zr6 Zr 0.7717 0.2722 0.8141
Zr7 Zr 0.8244 0.4882 0.5510
Te1 Te 0.0664 0.8801 0.6824
Te2 Te 0.2459 0.7318 0.0649
Te3 Te 0.2963 0.1860 0.3093
Te4 Te 0.3832 0.3325 0.7893
Te5 Te 0.4906 0.6919 0.4567
Te6 Te 0.6042 0.9388 0.9105
Te7 Te 0.7058 0.3815 0.1781
Te8 Te 0.8683 0.8506 0.2548
N1 N 0.0018 0.2546 0.9948
N2 N 0.0768 0.4526 0.5015
N3 N 0.7748 0.1927 0.5413
N4 N 0.8326 0.5167 0.7901
```

Copy entry 1 word for word.
Starting from a GGA-PBE-relaxed structure, the X-ray powder pattern of CaH16O10 was calculated for Cu Kα.
Intensities are scaled so that the largest is 100.

Top 10 peaks for 10 to 90 degrees two-theta, by angle:
6.264 Å, 2θ = 14.14°, rel. 34, (1 0 0); 5.395 Å, 2θ = 16.43°, rel. 63, (0 0 2); 3.437 Å, 2θ = 25.92°, rel. 29, (1 1 2); 3.419 Å, 2θ = 26.06°, rel. 85, (1 1 -2); 2.716 Å, 2θ = 32.99°, rel. 87, (1 2 -1); 2.707 Å, 2θ = 33.09°, rel. 100, (-2 1 1); 2.699 Å, 2θ = 33.19°, rel. 51, (0 0 4); 2.209 Å, 2θ = 40.86°, rel. 36, (2 -2 0); 1.984 Å, 2θ = 45.74°, rel. 38, (3 1 0); 1.978 Å, 2θ = 45.88°, rel. 41, (1 -3 0)

Atomic structure:
```
data_CaH16O10
_chemical_formula_sum 'Ca2 H32 O20'
_cell_length_a 6.2632
_cell_length_b 6.2643
_cell_length_c 10.7910
_cell_angle_alpha 89.90
_cell_angle_beta 89.69
_cell_angle_gamma 89.72
_space_group_name_H-M_alt 'P 1'
_space_group_IT_number 1
loop_
_space_group_symop_operation_xyz
'x,y,z'
loop_
_atom_site_label
_atom_site_type_symbol
_atom_site_fract_x
_atom_site_fract_y
_atom_site_fract_z
Ca1 Ca 0.0000 0.0000 0.0000
Ca2 Ca 0.9996 0.0031 0.5021
H1 H 0.0288 0.4586 0.6242
H2 H 0.0425 0.5751 0.3708
H3 H 0.0475 0.4754 0.8780
H4 H 0.1176 0.7115 0.2013
H5 H 0.1419 0.3098 0.7828
H6 H 0.2657 0.3778 0.6027
H7 H 0.2717 0.6163 0.0973
H8 H 0.2737 0.6673 0.3801
H9 H 0.3051 0.1396 0.2835
H10 H 0.3213 0.8851 0.7771
H11 H 0.3547 0.4258 0.9090
H12 H 0.3744 0.2608 0.1048
H13 H 0.3863 0.7305 0.5986
H14 H 0.3969 0.7578 0.8959
H15 H 0.4266 0.3575 0.4057
H16 H 0.4562 0.0238 0.1249
H17 H 0.4609 0.9720 0.6096
H18 H 0.4722 0.0493 0.3787
H19 H 0.5722 0.0411 0.8746
H20 H 0.6191 0.2806 0.5993
H21 H 0.6371 0.7534 0.1137
H22 H 0.6383 0.7693 0.3858
H23 H 0.6546 0.2753 0.8913
H24 H 0.6951 0.9034 0.2499
H25 H 0.7093 0.1333 0.7083
H26 H 0.7255 0.3812 0.1027
H27 H 0.7558 0.6373 0.6098
H28 H 0.7627 0.3956 0.3945
H29 H 0.7661 0.6423 0.8838
H30 H 0.8915 0.3167 0.2772
H31 H 0.9013 0.6973 0.7471
H32 H 0.9661 0.4586 0.1072
O1 O 0.1210 0.3227 0.6283
O2 O 0.1232 0.6805 0.1109
O3 O 0.1255 0.7113 0.3604
O4 O 0.1397 0.3388 0.8750
O5 O 0.3194 0.1150 0.1281
O6 O 0.3314 0.8797 0.6184
O7 O 0.3352 0.1411 0.3753
O8 O 0.3423 0.8998 0.8691
O9 O 0.4922 0.4930 0.0706
O10 O 0.4951 0.4991 0.5656
O11 O 0.4980 0.5006 0.9330
O12 O 0.5041 0.4998 0.4280
O13 O 0.6834 0.1340 0.6171
O14 O 0.6874 0.8983 0.1337
O15 O 0.6878 0.9121 0.3621
O16 O 0.7049 0.1307 0.8669
O17 O 0.8760 0.3279 0.1186
O18 O 0.8999 0.6883 0.6310
O19 O 0.9057 0.3408 0.3689
O20 O 0.9081 0.6922 0.8593
```